# LiV5O10
Calculated X-ray powder pattern, λ = 1.5418 Å (Cu Kα). Input: a PBE+U-relaxed structure.

Structural model:
```
LiV5O10
1.0
2.6426 -6.8960 0.0000
2.6426 6.8960 0.0000
-2.6320 0.0000 4.9061
Li V O
1 5 10
Cartesian
0.0000 0.0000 0.0000 Li
2.6426 3.7881 0.0000 V
1.3266 2.6588 2.4531 V
1.3266 -0.4091 2.4531 V
2.6426 -1.5395 0.0000 V
1.3266 -5.6806 2.4531 V
1.0070 3.9295 0.9479 O
-0.4220 2.5213 3.4985 O
0.4211 1.0696 1.5237 O
-0.4140 -0.3036 3.5207 O
0.9206 -1.5750 1.0064 O
1.6463 3.9295 3.9582 O
3.0753 2.5213 1.4077 O
2.2322 1.0696 3.3824 O
3.0673 -0.3036 1.3854 O
1.7327 -1.5750 3.8998 O
```

Most intense lines, 2θ = 15–90°, by intensity:
two_theta, d [Å], I_rel
22.24, 3.998, 100
27.26, 3.272, 82
46.34, 1.959, 64
38.73, 2.325, 48
20.12, 4.412, 19
63.34, 1.468, 17
60.52, 1.530, 17
56.76, 1.622, 16
52.66, 1.738, 14
53.63, 1.709, 14